Diffraction record for Li2VFeP2H2O10. The powder X-ray diffraction pattern is theoretical, not measured: it uses DFT lattice parameters and positions (PBE+U) and λ = 1.5418 Å (Cu Kα).

Crystal structure
a b c (Å): 5.433 7.388 10.194
angles (deg): 104.52 101.05 106.17
Atoms (fractional coordinates):
Li1 0.024 0.449 0.127
Li2 0.476 0.050 0.373
Li3 0.524 0.950 0.627
Li4 0.976 0.551 0.873
V1 0.000 0.500 0.500
V2 0.500 0.500 0.000
Fe1 0.000 0.000 0.500
Fe2 0.500 0.000 0.000
P1 0.024 0.894 0.162
P2 0.476 0.606 0.338
P3 0.524 0.394 0.662
P4 0.976 0.106 0.838
H1 0.121 0.843 0.680
H2 0.379 0.661 0.819
H3 0.621 0.339 0.181
H4 0.879 0.157 0.320
O1 0.066 0.886 0.316
O2 0.102 0.324 0.943
O3 0.131 0.806 0.581
O4 0.159 0.984 0.864
O5 0.192 0.504 0.345
O6 0.309 0.994 0.154
O7 0.340 0.517 0.637
O8 0.370 0.697 0.919
O9 0.398 0.177 0.556
O10 0.433 0.614 0.185
O11 0.567 0.386 0.815
O12 0.602 0.823 0.444
O13 0.630 0.303 0.081
O14 0.660 0.483 0.363
O15 0.691 0.006 0.846
O16 0.808 0.496 0.655
O17 0.841 0.016 0.136
O18 0.869 0.194 0.419
O19 0.898 0.676 0.057
O20 0.934 0.114 0.684

Largest 8 diffraction maxima, low angle first, 5 to 70 degrees two-theta:
2θ 17.55, intensity 37.2
2θ 18.50, intensity 35.0
2θ 18.74, intensity 46.7
2θ 25.63, intensity 59.9
2θ 26.54, intensity 73.2
2θ 26.81, intensity 100.0
2θ 28.88, intensity 86.2
2θ 35.87, intensity 37.0

Diffraction record for Li4Ti2Ni3Sb3O16. The powder X-ray diffraction pattern is theoretical, not measured: it uses DFT lattice parameters and positions (PBE+U) and λ = 1.5418 Å (Cu Kα).

Crystal structure
a b c (Å): 6.100 6.100 9.713
angles (deg): 90.38 90.38 60.34
Atoms (fractional coordinates):
Li1 0.000 0.000 0.000
Li2 0.007 0.007 0.520
Li3 0.318 0.318 0.614
Li4 0.667 0.667 0.101
Ti1 0.314 0.314 0.000
Ti2 0.632 0.632 0.531
Ni1 0.164 0.164 0.290
Ni2 0.329 0.816 0.792
Ni3 0.816 0.329 0.792
Sb1 0.163 0.656 0.288
Sb2 0.656 0.163 0.288
Sb3 0.817 0.817 0.788
O1 0.040 0.478 0.160
O2 0.146 0.652 0.911
O3 0.165 0.165 0.914
O4 0.323 0.821 0.411
O5 0.330 0.330 0.403
O6 0.478 0.040 0.160
O7 0.483 0.483 0.166
O8 0.505 0.505 0.653
O9 0.517 0.947 0.658
O10 0.652 0.146 0.911
O11 0.659 0.659 0.898
O12 0.821 0.323 0.411
O13 0.836 0.836 0.402
O14 0.947 0.517 0.658
O15 0.986 0.986 0.703
O16 0.995 0.995 0.187

Largest 8 diffraction maxima, low angle first, 5 to 70 degrees two-theta:
2θ 18.27, intensity 100.0
2θ 19.07, intensity 89.7
2θ 24.85, intensity 26.6
2θ 34.61, intensity 27.4
2θ 35.10, intensity 57.7
2θ 44.09, intensity 42.2
2θ 44.25, intensity 22.0
2θ 60.73, intensity 23.7

Diffraction record for Mn3O2F4. The powder X-ray diffraction pattern is theoretical, not measured: it uses DFT lattice parameters and positions (PBE+U) and λ = 1.5418 Å (Cu Kα).

Crystal structure
a b c (Å): 4.665 4.784 9.778
angles (deg): 87.42 89.85 89.93
Atoms (fractional coordinates):
Mn1 0.000 0.000 0.000
Mn2 0.019 0.965 0.676
Mn3 0.480 0.463 0.175
Mn4 0.500 0.500 0.500
Mn5 0.520 0.537 0.825
Mn6 0.981 0.035 0.324
O1 0.173 0.197 0.169
O2 0.325 0.704 0.673
O3 0.675 0.296 0.327
O4 0.827 0.803 0.831
F1 0.190 0.179 0.514
F2 0.233 0.222 0.837
F3 0.264 0.721 0.331
F4 0.307 0.681 0.014
F5 0.693 0.319 0.986
F6 0.736 0.279 0.669
F7 0.767 0.778 0.163
F8 0.810 0.821 0.486

Largest 8 diffraction maxima, low angle first, 5 to 70 degrees two-theta:
2θ 26.71, intensity 100.0
2θ 32.57, intensity 20.1
2θ 33.57, intensity 30.4
2θ 37.99, intensity 12.9
2θ 50.29, intensity 18.0
2θ 52.33, intensity 20.0
2θ 55.02, intensity 19.1
2θ 56.53, intensity 11.3

Diffraction record for Li4Co3O7. The powder X-ray diffraction pattern is theoretical, not measured: it uses DFT lattice parameters and positions (PBE+U) and λ = 1.5418 Å (Cu Kα).

Crystal structure
a b c (Å): 3.010 9.758 9.783
angles (deg): 117.08 91.28 97.67
Atoms (fractional coordinates):
Li1 0.000 0.000 0.000
Li2 0.070 0.140 0.782
Li3 0.217 0.426 0.356
Li4 0.360 0.720 0.929
Li5 0.500 0.000 0.500
Li6 0.640 0.280 0.071
Li7 0.783 0.574 0.644
Li8 0.930 0.860 0.218
Co1 0.137 0.283 0.567
Co2 0.288 0.572 0.144
Co3 0.432 0.861 0.725
Co4 0.568 0.139 0.275
Co5 0.712 0.428 0.856
Co6 0.863 0.717 0.433
O1 0.002 0.085 0.394
O2 0.136 0.208 0.187
O3 0.188 0.367 0.967
O4 0.239 0.486 0.744
O5 0.341 0.662 0.546
O6 0.389 0.775 0.320
O7 0.473 0.949 0.128
O8 0.527 0.051 0.872
O9 0.611 0.225 0.680
O10 0.659 0.338 0.454
O11 0.761 0.514 0.256
O12 0.812 0.633 0.033
O13 0.864 0.792 0.813
O14 0.998 0.915 0.606

Largest 8 diffraction maxima, low angle first, 5 to 70 degrees two-theta:
2θ 18.36, intensity 100.0
2θ 34.98, intensity 17.5
2θ 35.60, intensity 15.8
2θ 37.16, intensity 14.5
2θ 42.02, intensity 32.2
2θ 43.14, intensity 29.0
2θ 45.37, intensity 24.0
2θ 64.01, intensity 14.2

Diffraction record for CaCo2Si4O12. The powder X-ray diffraction pattern is theoretical, not measured: it uses DFT lattice parameters and positions (PBE+U) and λ = 1.5418 Å (Cu Kα).

Crystal structure
a b c (Å): 6.502 6.502 5.275
angles (deg): 102.50 102.50 84.45
Atoms (fractional coordinates):
Ca1 0.000 0.000 0.000
Co1 0.587 0.413 0.000
Co2 0.788 0.212 0.500
Si1 0.078 0.500 0.976
Si2 0.318 0.103 0.525
Si3 0.500 0.922 0.024
Si4 0.897 0.682 0.475
O1 0.025 0.674 0.236
O2 0.060 0.647 0.753
O3 0.077 0.195 0.435
O4 0.310 0.394 0.049
O5 0.326 0.975 0.764
O6 0.353 0.940 0.247
O7 0.516 0.261 0.617
O8 0.606 0.690 0.951
O9 0.675 0.105 0.127
O10 0.739 0.484 0.383
O11 0.805 0.923 0.565
O12 0.895 0.325 0.873

Largest 8 diffraction maxima, low angle first, 5 to 70 degrees two-theta:
2θ 13.97, intensity 69.6
2θ 20.17, intensity 33.2
2θ 20.32, intensity 21.4
2θ 30.13, intensity 100.0
2θ 30.87, intensity 53.3
2θ 35.55, intensity 68.4
2θ 36.38, intensity 44.9
2θ 67.17, intensity 27.2

Diffraction record for Li2FePCO7. The powder X-ray diffraction pattern is theoretical, not measured: it uses DFT lattice parameters and positions (PBE+U) and λ = 1.5418 Å (Cu Kα).

Crystal structure
a b c (Å): 5.091 6.511 16.630
angles (deg): 90.54 94.86 90.23
Atoms (fractional coordinates):
Li1 0.000 0.000 0.000
Li2 0.000 0.435 0.500
Li3 0.502 0.499 0.275
Li4 0.505 0.497 0.776
Li5 0.513 0.202 0.589
Li6 0.514 0.221 0.090
Li7 0.990 0.717 0.186
Li8 0.992 0.735 0.685
Fe1 0.550 0.728 0.473
Fe2 0.551 0.705 0.973
Fe3 0.952 0.200 0.803
Fe4 0.953 0.209 0.303
P1 0.029 0.712 0.848
P2 0.030 0.709 0.348
P3 0.474 0.214 0.928
P4 0.474 0.227 0.428
C1 0.048 0.236 0.658
C2 0.050 0.214 0.158
C3 0.455 0.699 0.618
C4 0.455 0.719 0.118
O1 0.118 0.190 0.087
O2 0.118 0.248 0.587
O3 0.170 0.249 0.408
O4 0.171 0.187 0.908
O5 0.224 0.235 0.721
O6 0.225 0.240 0.220
O7 0.278 0.702 0.556
O8 0.280 0.746 0.056
O9 0.332 0.689 0.868
O10 0.333 0.685 0.368
O11 0.385 0.690 0.189
O12 0.387 0.681 0.689
O13 0.533 0.402 0.986
O14 0.536 0.030 0.477
O15 0.576 0.402 0.487
O16 0.580 0.030 0.980
O17 0.606 0.237 0.849
O18 0.607 0.236 0.348
O19 0.700 0.717 0.600
O20 0.701 0.717 0.100
O21 0.803 0.219 0.676
O22 0.804 0.210 0.177
O23 0.896 0.699 0.428
O24 0.897 0.739 0.927
O25 0.924 0.525 0.796
O26 0.925 0.534 0.289
O27 0.970 0.897 0.791
O28 0.970 0.906 0.299

Largest 8 diffraction maxima, low angle first, 5 to 70 degrees two-theta:
2θ 10.68, intensity 83.3
2θ 17.41, intensity 18.6
2θ 19.73, intensity 49.9
2θ 21.30, intensity 64.6
2θ 26.60, intensity 35.2
2θ 27.40, intensity 100.0
2θ 36.15, intensity 20.9
2θ 56.51, intensity 18.6